[1]
For SrCa7Mn6Al2O22, the GGA+U geometry in the Materials Project gives the computed powder diffractogram in this record (Cu Kα (λ = 1.5418 Å)).
Kinematic intensities with the Lorentz-polarization factor, no thermal factor.

Main lines, in order of rising 2θ (15 to 90 degrees two-theta):
two_theta, d (Å), Rel. int.
33.1, 2.709, 40
33.2, 2.697, 100
40.9, 2.205, 13
47.5, 1.915, 45
47.9, 1.898, 23
59.2, 1.561, 32
59.5, 1.555, 14
69.4, 1.354, 11
69.8, 1.348, 24
79.1, 1.211, 11

Crystal structure
Unit cell a=7.593 b=7.661 c=7.661 alpha=89.98 beta=90.00 gamma=90.00
Sites, in units of the cell vectors:
Sr 0.000 0.000 0.000
Ca 0.000 0.008 0.474
Ca 0.000 0.474 0.008
Ca 0.000 0.474 0.474
Ca 0.500 0.007 0.007
Ca 0.500 0.007 0.474
Ca 0.500 0.474 0.007
Ca 0.500 0.474 0.474
Mn 0.251 0.241 0.241
Mn 0.251 0.242 0.740
Mn 0.251 0.740 0.242
Mn 0.749 0.241 0.241
Mn 0.749 0.242 0.740
Mn 0.749 0.740 0.242
Al 0.253 0.740 0.740
Al 0.747 0.740 0.740
O 0.000 0.243 0.738
O 0.000 0.244 0.244
O 0.000 0.738 0.243
O 0.250 0.502 0.740
O 0.250 0.740 0.502
O 0.251 0.241 0.490
O 0.251 0.490 0.241
O 0.253 0.244 0.991
O 0.253 0.739 0.978
O 0.253 0.978 0.739
O 0.253 0.991 0.244
O 0.500 0.241 0.241
O 0.500 0.241 0.740
O 0.500 0.740 0.241
O 0.747 0.244 0.991
O 0.747 0.739 0.978
O 0.747 0.978 0.739
O 0.747 0.991 0.244
O 0.749 0.241 0.490
O 0.749 0.490 0.241
O 0.750 0.502 0.740
O 0.750 0.740 0.502

[2]
For SrCa7Mn6Al2O20, the GGA+U geometry in the Materials Project gives the computed powder diffractogram in this record (Cu Kα (λ = 1.5418 Å)).
Kinematic intensities with the Lorentz-polarization factor, no thermal factor.

Main lines, in order of rising 2θ (15 to 90 degrees two-theta):
two_theta, d (Å), Rel. int.
32.6, 2.749, 30
32.8, 2.732, 65
32.9, 2.721, 100
46.9, 1.939, 48
47.6, 1.912, 22
58.3, 1.584, 11
58.4, 1.580, 17
58.6, 1.575, 12
58.8, 1.571, 12
69.0, 1.361, 12

Crystal structure
Unit cell a=7.648 b=7.751 c=7.761 alpha=90.30 beta=90.24 gamma=90.02
Sites, in units of the cell vectors:
Sr 0.000 0.000 0.000
Ca 0.002 0.515 0.489
Ca 0.007 0.995 0.483
Ca 0.498 0.511 0.942
Ca 0.498 0.996 0.475
Ca 0.502 0.523 0.466
Ca 0.503 0.019 0.935
Ca 0.984 0.519 0.036
Mn 0.247 0.753 0.714
Mn 0.256 0.755 0.217
Mn 0.286 0.261 0.217
Mn 0.739 0.757 0.720
Mn 0.752 0.260 0.238
Mn 0.756 0.761 0.236
Al 0.226 0.262 0.735
Al 0.776 0.264 0.751
O 0.008 0.746 0.265
O 0.026 0.278 0.262
O 0.202 0.736 0.966
O 0.276 0.052 0.664
O 0.278 0.464 0.650
O 0.296 0.003 0.194
O 0.296 0.764 0.458
O 0.308 0.264 0.949
O 0.317 0.514 0.206
O 0.490 0.762 0.774
O 0.515 0.253 0.330
O 0.689 0.764 0.469
O 0.698 0.059 0.693
O 0.703 0.467 0.684
O 0.749 0.510 0.244
O 0.751 0.267 0.976
O 0.765 0.754 0.982
O 0.770 0.012 0.245
O 0.992 0.764 0.674
O 0.998 0.259 0.696

[3]
For SrCa7Mn6Al2O23, the GGA+U geometry in the Materials Project gives the computed powder diffractogram in this record (Cu Kα (λ = 1.5418 Å)).
Kinematic intensities with the Lorentz-polarization factor, no thermal factor.

Main lines, in order of rising 2θ (15 to 90 degrees two-theta):
two_theta, d (Å), Rel. int.
33.2, 2.695, 100
33.6, 2.670, 44
41.1, 2.194, 16
47.2, 1.924, 25
48.2, 1.888, 48
59.2, 1.561, 17
59.8, 1.546, 34
69.8, 1.348, 25
70.5, 1.335, 13
89.3, 1.097, 12

Crystal structure
Unit cell a=7.697 b=7.552 c=7.552 alpha=90.00 beta=90.00 gamma=90.00
Sites, in units of the cell vectors:
Sr 0.000 0.000 0.000
Ca 0.000 0.005 0.490
Ca 0.000 0.490 0.005
Ca 0.000 0.490 0.490
Ca 0.500 0.005 0.005
Ca 0.500 0.005 0.489
Ca 0.500 0.488 0.488
Ca 0.500 0.489 0.005
Mn 0.246 0.248 0.746
Mn 0.246 0.746 0.248
Mn 0.250 0.247 0.247
Mn 0.750 0.247 0.247
Mn 0.754 0.248 0.746
Mn 0.754 0.746 0.248
Al 0.275 0.746 0.746
Al 0.725 0.746 0.746
O 0.000 0.246 0.742
O 0.000 0.250 0.250
O 0.000 0.742 0.246
O 0.225 0.505 0.745
O 0.225 0.745 0.505
O 0.231 0.743 0.989
O 0.231 0.989 0.743
O 0.254 0.248 0.496
O 0.254 0.496 0.248
O 0.257 0.251 0.996
O 0.257 0.996 0.251
O 0.500 0.248 0.248
O 0.500 0.249 0.744
O 0.500 0.744 0.249
O 0.500 0.744 0.744
O 0.743 0.251 0.996
O 0.743 0.996 0.251
O 0.746 0.248 0.496
O 0.746 0.496 0.248
O 0.769 0.743 0.989
O 0.769 0.989 0.743
O 0.775 0.505 0.745
O 0.775 0.745 0.505